For ThGe3Pt5, the GGA-PBE geometry in Alexandria gives the simulated XRD peak list in this record (CuKα).
Kinematic intensities with the Lorentz-polarization factor, no thermal factor.

Crystal structure
Cell: 3.8479 13.6995 6.6563 Å, 90.00 106.51 90.00°
Space group P2_1/m (No. 11)
One atom of each set of equivalent atoms:
Th 0.1884 0.2500 0.3635 (multiplicity 2)
Ge 0.0796 0.7500 0.1584 (multiplicity 2)
Ge 0.3672 0.5196 0.7325 (multiplicity 4)
Pt 0.0000 0.0000 0.0000 (multiplicity 2)
Pt 0.2006 0.6069 0.4000 (multiplicity 4)
Pt 0.4916 0.1505 0.9856 (multiplicity 4)

Most intense lines, 2θ = 15–90°, by angle:
- 2.866 Å, 31.21 deg, I 100, (1 0 1)
- 2.847 Å, 31.43 deg, I 23, (1 0 -2)
- 2.640 Å, 33.96 deg, I 35, (1 2 1)
- 2.629 Å, 34.11 deg, I 35, (1 2 -2)
- 2.616 Å, 34.28 deg, I 37, (0 3 2)
- 2.508 Å, 35.80 deg, I 41, (1 4 -1)
- 2.196 Å, 41.10 deg, I 33, (1 4 1)
- 2.189 Å, 41.24 deg, I 29, (1 4 -2)
- 2.150 Å, 42.03 deg, I 39, (0 6 1)
- 1.924 Å, 47.24 deg, I 46, (2 0 -1)

For Pm2BeGa2Au4, the GGA-PBE geometry in Alexandria gives the simulated XRD peak list in this record (CuKα).
Kinematic intensities with the Lorentz-polarization factor, no thermal factor.

Crystal structure
Cell: 6.5036 6.5036 8.5858 Å, 90.00 90.00 90.00°
Space group I4/mmm (No. 139)
One atom of each set of equivalent atoms:
Pm 0.0000 0.5000 0.2500 (multiplicity 4)
Be 0.0000 0.0000 0.0000 (multiplicity 2)
Ga 0.0000 0.0000 0.3025 (multiplicity 4)
Au 0.2444 0.2444 0.5000 (multiplicity 8)

Most intense lines, 2θ = 15–90°, by angle:
- 4.293 Å, 20.69 deg, I 9, (0 0 2)
- 3.252 Å, 27.43 deg, I 7, (2 0 0)
- 2.592 Å, 34.60 deg, I 100, (2 0 2)
- 2.299 Å, 39.18 deg, I 38, (2 2 0)
- 2.146 Å, 42.10 deg, I 13, (0 0 4)
- 1.626 Å, 56.61 deg, I 13, (4 0 0)
- 1.569 Å, 58.86 deg, I 19, (2 2 4)
- 1.377 Å, 68.07 deg, I 28, (4 2 2)
- 1.310 Å, 72.11 deg, I 9, (2 0 6)
- 1.296 Å, 73.00 deg, I 10, (4 0 4)